Diffraction record for LaHfMg6. The powder diffraction line list is computed, not measured: it uses a structure optimized by DFT (GGA-PBE) and CuKα.

Structural model:
a = 5.185 Å, b = 6.660 Å, c = 6.660 Å
α = 59.37°, β = 90.00°, γ = 90.00°
Atoms (fractional coordinates):
La (0.000, 0.000, 0.000)
Hf (0.500, 0.148, 0.148)
Mg (0.000, 0.008, 0.480)
Mg (0.000, 0.480, 0.008)
Mg (0.000, 0.493, 0.493)
Mg (0.500, 0.157, 0.639)
Mg (0.500, 0.639, 0.157)
Mg (0.500, 0.655, 0.655)

Principal peaks in the range 2θ = 10–90°, by angle:
| 2θ/deg | d [Å] | I/Imax |
| --- | --- | --- |
| 15.3 | 5.786 | 23.2 |
| 15.5 | 5.731 | 100.0 |
| 23.1 | 3.855 | 51.0 |
| 27.0 | 3.299 | 16.7 |
| 31.2 | 2.866 | 25.4 |
| 31.9 | 2.802 | 41.5 |
| 34.6 | 2.593 | 28.1 |
| 35.5 | 2.526 | 46.7 |
| 35.8 | 2.508 | 67.3 |
| 38.1 | 2.363 | 27.2 |



Diffraction record for LaHfMg6. The powder diffraction line list is computed, not measured: it uses a structure optimized by DFT (GGA-PBE) and CuKα.

Structural model:
a = 6.417 Å, b = 6.417 Å, c = 4.839 Å
α = 90.00°, β = 90.00°, γ = 98.34°
Atoms (fractional coordinates):
La (0.000, 0.000, 0.000)
Hf (0.500, 0.500, 0.000)
Mg (0.000, 0.500, 0.000)
Mg (0.260, 0.740, 0.500)
Mg (0.267, 0.267, 0.500)
Mg (0.500, 0.000, 0.000)
Mg (0.733, 0.733, 0.500)
Mg (0.740, 0.260, 0.500)

Principal peaks in the range 2θ = 10–90°, by angle:
| 2θ/deg | d [Å] | I/Imax |
| --- | --- | --- |
| 18.3 | 4.847 | 70.1 |
| 21.2 | 4.195 | 25.2 |
| 26.0 | 3.428 | 30.4 |
| 28.1 | 3.172 | 50.2 |
| 33.8 | 2.654 | 100.0 |
| 37.0 | 2.428 | 19.4 |
| 37.2 | 2.420 | 19.4 |
| 43.1 | 2.099 | 20.5 |
| 47.2 | 1.926 | 37.4 |
| 58.2 | 1.586 | 27.0 |



Diffraction record for LaHfMg6O8. The powder diffraction line list is computed, not measured: it uses a structure optimized by DFT (GGA-PBE) and CuKα.

Structural model:
a = 4.548 Å, b = 4.548 Å, c = 9.088 Å
α = 90.00°, β = 90.00°, γ = 90.00°
Atoms (fractional coordinates):
La (0.000, 0.000, 0.000)
Hf (0.500, 0.500, 0.000)
Mg (0.000, 0.000, 0.500)
Mg (0.000, 0.500, 0.273)
Mg (0.000, 0.500, 0.727)
Mg (0.500, 0.000, 0.273)
Mg (0.500, 0.000, 0.727)
Mg (0.500, 0.500, 0.500)
O (0.000, 0.000, 0.277)
O (0.000, 0.000, 0.723)
O (0.000, 0.500, 0.000)
O (0.000, 0.500, 0.500)
O (0.500, 0.000, 0.000)
O (0.500, 0.000, 0.500)
O (0.500, 0.500, 0.262)
O (0.500, 0.500, 0.738)

Principal peaks in the range 2θ = 10–90°, by angle:
| 2θ/deg | d [Å] | I/Imax |
| --- | --- | --- |
| 19.5 | 4.544 | 43.2 |
| 27.7 | 3.216 | 35.3 |
| 29.5 | 3.031 | 84.6 |
| 34.2 | 2.625 | 63.7 |
| 39.6 | 2.274 | 100.0 |
| 40.9 | 2.206 | 40.7 |
| 50.2 | 1.819 | 22.3 |
| 57.3 | 1.608 | 61.2 |
| 65.7 | 1.420 | 24.6 |
| 68.4 | 1.371 | 29.1 |



Diffraction record for La3HfPa2N6. The powder diffraction line list is computed, not measured: it uses a structure optimized by DFT (GGA-PBE) and CuKα.

Structural model:
a = 6.080 Å, b = 6.080 Å, c = 6.291 Å
α = 99.23°, β = 99.23°, γ = 119.97°
Atoms (fractional coordinates):
La (0.000, 0.000, 0.000)
La (0.335, 0.665, 0.000)
La (0.665, 0.335, 0.000)
Hf (0.500, 0.500, 0.500)
Pa (0.167, 0.833, 0.500)
Pa (0.833, 0.167, 0.500)
N (0.108, 0.434, 0.303)
N (0.242, 0.242, 0.701)
N (0.434, 0.108, 0.303)
N (0.566, 0.892, 0.697)
N (0.758, 0.758, 0.299)
N (0.892, 0.566, 0.697)

Principal peaks in the range 2θ = 10–90°, by angle:
| 2θ/deg | d [Å] | I/Imax |
| --- | --- | --- |
| 30.0 | 2.980 | 37.6 |
| 31.1 | 2.879 | 100.0 |
| 35.7 | 2.514 | 93.8 |
| 50.7 | 1.801 | 33.2 |
| 52.1 | 1.756 | 31.9 |
| 60.0 | 1.541 | 17.4 |
| 61.3 | 1.512 | 21.0 |
| 61.9 | 1.499 | 15.0 |
| 85.1 | 1.140 | 12.9 |
| 87.7 | 1.113 | 14.6 |